Starting from a structure optimized by DFT (PBE), the X-ray powder pattern of BaUSe2O8 was calculated for Cu Kα, 1.54184 Å.

Cell and atoms:
Cell: 7.8768 9.5096 13.6287 Å, 90.00 111.93 90.00°
Space group P2_1/c (No. 14)
One atom of each set of equivalent atoms:
Ba 0.1653 0.1019 0.1929
U 0.2651 0.5964 0.2120
Se 0.2226 0.5508 0.9628
Se 0.4793 0.6618 0.6166
O 0.0359 0.0348 0.3635
O 0.0523 0.0434 0.9834
O 0.1658 0.6805 0.3060
O 0.2480 0.0500 0.5750
O 0.3057 0.1294 0.7819
O 0.3150 0.6619 0.6747
O 0.4939 0.1040 0.1822
O 0.4963 0.6571 0.1128

Peak list (12 most intense, 2θ = 5–70°, most intense first)
- 19.95°, rel. 100.0, (0 2 1)
- 14.01°, rel. 89.3, (0 0 2)
- 28.29°, rel. 55.1, (0 2 3)
- 24.55°, rel. 54.2, (2 1 -1)
- 29.52°, rel. 48.5, (2 2 -1)
- 29.68°, rel. 46.4, (2 0 -4)
- 38.07°, rel. 45.5, (1 2 -5)
- 14.71°, rel. 34.4, (1 0 -2)
- 34.89°, rel. 31.5, (1 0 4)
- 24.75°, rel. 31.3, (1 2 1)
- 18.66°, rel. 31.0, (0 2 0)
- 24.36°, rel. 30.8, (2 0 0)


Starting from a structure optimized by DFT (PBE), the X-ray powder pattern of BaZnSe4O12 was calculated for Cu Kα, 1.54184 Å.

Cell and atoms:
Cell: 5.4837 5.4837 7.5851 Å, 90.00 90.00 90.00°
Space group P4/mmm (No. 123)
One atom of each set of equivalent atoms:
Ba 0.0000 0.0000 0.0000
Zn 0.5000 0.5000 0.5000
Se 0.0000 0.5000 0.2584
O 0.0000 0.5000 0.0000
O 0.0000 0.5000 0.5000
O 0.2597 0.2597 0.2777

Peak list (12 most intense, 2θ = 5–70°, most intense first)
- 33.04°, rel. 100.0, (1 1 2)
- 19.98°, rel. 72.4, (1 0 1)
- 32.66°, rel. 52.3, (2 0 0)
- 46.86°, rel. 44.5, (2 2 0)
- 58.53°, rel. 40.1, (3 1 2)
- 38.58°, rel. 26.0, (2 1 1)
- 22.94°, rel. 22.6, (1 1 0)
- 69.32°, rel. 22.6, (2 2 4)
- 59.25°, rel. 21.0, (2 0 4)
- 47.98°, rel. 18.7, (0 0 4)
- 68.44°, rel. 12.8, (4 0 0)
- 39.24°, rel. 12.1, (1 0 3)


Starting from a structure optimized by DFT (PBE), the X-ray powder pattern of BaSi2O9 was calculated for Cu Kα, 1.54184 Å.

Cell and atoms:
Cell: 5.4752 8.2848 17.2125 Å, 89.99 89.88 89.95°
Space group P1 (No. 1)
One atom of each set of equivalent atoms:
Ba 0.0000 0.0000 0.0000
Ba 0.2303 0.5007 0.4999
Ba 0.4982 0.9996 0.4986
Ba 0.7290 0.5003 0.9983
Si 0.0773 0.1952 0.7057
Si 0.0776 0.8057 0.7056
Si 0.1522 0.3050 0.2055
Si 0.1519 0.6945 0.2055
Si 0.5765 0.1952 0.7930
Si 0.5768 0.8057 0.7930
Si 0.6514 0.3050 0.2929
Si 0.6511 0.6946 0.2929
O 0.0385 0.9999 0.4230
O 0.0796 0.0005 0.6949
O 0.0822 0.2828 0.6183
O 0.0818 0.7178 0.6184
O 0.1478 0.2172 0.1183
O 0.1476 0.7830 0.1184
O 0.1512 0.4998 0.1948
O 0.1913 0.5002 0.9247
O 0.2323 0.5010 0.9978
O 0.3120 0.2513 0.7577
O 0.3127 0.7496 0.7576
O 0.3259 0.2379 0.5882
O 0.3259 0.7620 0.5882
O 0.4028 0.2626 0.4103
O 0.4028 0.7382 0.4103
O 0.4160 0.7505 0.2409
O 0.4167 0.2489 0.2408
O 0.4966 0.9998 0.0015
O 0.5388 0.0004 0.0745
O 0.5773 0.0004 0.8037
O 0.5809 0.2830 0.8803
O 0.5811 0.7174 0.8801
O 0.6465 0.2175 0.3802
O 0.6468 0.7825 0.3801
O 0.6493 0.4998 0.3037
O 0.6897 0.5006 0.5754
O 0.7337 0.5002 0.5024
O 0.8122 0.2509 0.7410
O 0.8129 0.7501 0.7411
O 0.8218 0.2349 0.9112
O 0.8216 0.7656 0.9112
O 0.9070 0.2654 0.0873
O 0.9073 0.7348 0.0872
O 0.9164 0.2493 0.2575
O 0.9158 0.7502 0.2574
O 0.9948 0.0009 0.4960

Peak list (12 most intense, 2θ = 5–70°, most intense first)
- 23.84°, rel. 100.0, (0 2 2)
- 24.92°, rel. 50.7, (-1 1 3)
- 10.28°, rel. 44.3, (0 0 2)
- 20.64°, rel. 40.0, (0 0 4)
- 16.99°, rel. 38.6, (1 0 -1)
- 36.10°, rel. 32.8, (2 1 -2)
- 38.16°, rel. 30.0, (0 2 6)
- 20.11°, rel. 29.4, (1 -1 1)
- 29.94°, rel. 28.5, (0 2 -4)
- 34.50°, rel. 27.9, (2 1 0)
- 40.55°, rel. 27.0, (-2 1 4)
- 22.45°, rel. 24.7, (1 0 -3)


Starting from a structure optimized by DFT (PBE), the X-ray powder pattern of BaSiO3 was calculated for Cu Kα, 1.54184 Å.

Cell and atoms:
Cell: 4.6380 5.6917 12.7079 Å, 90.00 90.00 90.00°
Space group P2_12_12_1 (No. 19)
One atom of each set of equivalent atoms:
Ba 0.2294 0.1844 0.1421
Si 0.1811 0.8035 0.9270
O 0.1708 0.2768 0.5426
O 0.2402 0.0802 0.9064
O 0.2505 0.3784 0.3325

Peak list (12 most intense, 2θ = 5–70°, most intense first)
- 25.75°, rel. 100.0, (1 1 1)
- 26.23°, rel. 55.3, (0 1 3)
- 23.75°, rel. 35.7, (1 0 2)
- 28.09°, rel. 34.4, (0 0 4)
- 43.61°, rel. 31.1, (1 1 5)
- 38.83°, rel. 26.9, (2 0 0)
- 37.77°, rel. 25.6, (1 2 1)
- 42.97°, rel. 23.8, (1 2 3)
- 39.78°, rel. 20.4, (1 2 2)
- 31.43°, rel. 18.4, (0 2 0)
- 24.76°, rel. 18.2, (1 1 0)
- 47.47°, rel. 17.8, (2 1 3)


Starting from a structure optimized by DFT (PBE), the X-ray powder pattern of BaSiO3 was calculated for Cu Kα, 1.54184 Å.

Cell and atoms:
Cell: 7.9289 6.3988 14.3541 Å, 90.00 117.95 90.00°
Space group P2_1/c (No. 14)
One atom of each set of equivalent atoms:
Ba 0.2110 0.1017 0.1250
Ba 0.2580 0.5930 0.3353
Si 0.1715 0.0866 0.4102
Si 0.4516 0.6487 0.1128
O 0.0275 0.6068 0.8551
O 0.0718 0.1878 0.9012
O 0.3159 0.0906 0.3515
O 0.3229 0.0527 0.5392
O 0.3977 0.6353 0.5474
O 0.4382 0.6616 0.2215

Peak list (12 most intense, 2θ = 5–70°, most intense first)
- 28.02°, rel. 100.0, (2 1 -3)
- 28.78°, rel. 77.1, (0 2 1)
- 28.15°, rel. 56.1, (0 0 4)
- 36.42°, rel. 48.9, (2 2 -1)
- 25.43°, rel. 48.6, (2 0 0)
- 25.25°, rel. 45.8, (0 1 3)
- 26.53°, rel. 43.8, (2 1 -2)
- 15.51°, rel. 36.4, (0 1 1)
- 32.69°, rel. 30.8, (2 1 1)
- 38.07°, rel. 27.3, (2 0 -6)
- 43.31°, rel. 24.0, (2 2 -5)
- 19.71°, rel. 23.5, (0 1 2)


Starting from a structure optimized by DFT (PBE), the X-ray powder pattern of BaSiO3 was calculated for Cu Kα, 1.54184 Å.

Cell and atoms:
Cell: 5.6213 5.6213 20.2153 Å, 90.00 90.00 120.00°
Space group R-3m (No. 166, hexagonal axes)
One atom of each set of equivalent atoms:
Ba 0.0000 0.0000 0.0000
Ba 0.0000 0.0000 0.2140
Si 0.0000 0.0000 0.3808
Si 0.0000 0.0000 0.5000
O 0.0000 0.5000 0.0000
O 0.0509 0.5254 0.2249

Peak list (12 most intense, 2θ = 5–70°, most intense first)
- 31.84°, rel. 100.0, (1 1 0)
- 28.70°, rel. 89.4, (0 1 5)
- 43.39°, rel. 53.7, (2 0 5)
- 25.40°, rel. 49.6, (1 0 4)
- 41.16°, rel. 37.7, (0 2 4)
- 54.82°, rel. 24.4, (1 2 5)
- 52.14°, rel. 22.2, (1 1 9)
- 40.16°, rel. 20.1, (0 0 9)
- 66.54°, rel. 20.1, (2 2 0)
- 56.73°, rel. 18.5, (3 0 0)
- 48.78°, rel. 15.3, (1 0 10)
- 69.02°, rel. 14.7, (2 1 10)